Simulated powder XRD pattern
Compound: NaPrFe4O12
Radiation: a wavelength of 1.5418 Å
Structure: DFT lattice parameters and positions (GGA+U)
Lines closer than 0.1° are merged.

Most intense lines, 5° ≤ 2θ ≤ 70°, in order of rising 2θ:
2θ = 11.50°, I = 36
2θ = 16.43°, I = 38
2θ = 20.10°, I = 87
2θ = 33.07°, I = 100
2θ = 33.21°, I = 50
2θ = 39.13°, I = 31
2θ = 47.25°, I = 27
2θ = 47.68°, I = 52
2θ = 59.25°, I = 37
2θ = 69.39°, I = 28

Crystal structure
```
data_NaPrFe4O12
_symmetry_space_group_name_H-M 'P 4/m m m'
_symmetry_Int_Tables_number 123
_symmetry_space_group_name_Hall '-P 4 2'
_cell_length_a 5.395
_cell_length_b 5.395
_cell_length_c 7.694
_cell_angle_alpha 90.00
_cell_angle_beta 90.00
_cell_angle_gamma 90.00
loop_
_atom_site_label
_atom_site_type_symbol
_atom_site_fract_x
_atom_site_fract_y
_atom_site_fract_z
_atom_site_occupancy
Na1 Na 0.000 0.000 0.000 1
Pr1 Pr 0.500 0.500 0.500 1
Fe1 Fe 0.000 0.500 0.244 1
O1 O 0.000 0.500 0.000 1
O2 O 0.000 0.500 0.500 1
O3 O 0.257 0.257 0.259 1
```

=====

Simulated powder XRD pattern
Compound: LaZnCrCoO6
Radiation: a wavelength of 1.5418 Å
Structure: DFT lattice parameters and positions (GGA+U)
Lines closer than 0.1° are merged.

Most intense lines, 5° ≤ 2θ ≤ 70°, in order of rising 2θ:
2θ = 20.14°, I = 15
2θ = 32.94°, I = 100
2θ = 33.64°, I = 44
2θ = 39.52°, I = 9
2θ = 40.90°, I = 10
2θ = 46.22°, I = 15
2θ = 48.32°, I = 25
2θ = 58.36°, I = 11
2θ = 59.68°, I = 26
2θ = 59.83°, I = 11

Crystal structure
```
data_LaZnCrCoO6
_symmetry_space_group_name_H-M 'P 1 c 1'
_symmetry_Int_Tables_number 7
_symmetry_space_group_name_Hall 'P -2yc'
_cell_length_a 5.325
_cell_length_b 5.330
_cell_length_c 9.474
_cell_angle_alpha 90.00
_cell_angle_beta 123.97
_cell_angle_gamma 90.00
loop_
_atom_site_label
_atom_site_type_symbol
_atom_site_fract_x
_atom_site_fract_y
_atom_site_fract_z
_atom_site_occupancy
La1 La 0.000 0.216 0.000 1
Zn1 Zn 0.491 0.283 0.502 1
Cr1 Cr 0.243 0.263 0.753 1
Co1 Co 0.738 0.251 0.247 1
O1 O 0.014 0.475 0.795 1
O2 O 0.131 0.047 0.306 1
O3 O 0.409 0.483 0.195 1
O4 O 0.506 0.049 0.693 1
O5 O 0.564 0.307 0.995 1
O6 O 0.875 0.229 0.503 1
```

=====

Simulated powder XRD pattern
Compound: MgMn6O11F
Radiation: a wavelength of 1.5418 Å
Structure: DFT lattice parameters and positions (GGA+U)
Lines closer than 0.1° are merged.

Most intense lines, 5° ≤ 2θ ≤ 70°, in order of rising 2θ:
2θ = 23.33°, I = 100
2θ = 28.14°, I = 71
2θ = 35.90°, I = 34
2θ = 36.12°, I = 52
2θ = 36.41°, I = 22
2θ = 50.07°, I = 18
2θ = 50.53°, I = 19
2θ = 55.35°, I = 19
2θ = 58.17°, I = 17
2θ = 64.41°, I = 18

Crystal structure
```
data_MgMn6O11F
_symmetry_space_group_name_H-M 'P 1'
_symmetry_Int_Tables_number 1
_symmetry_space_group_name_Hall 'P 1'
_cell_length_a 5.683
_cell_length_b 5.820
_cell_length_c 6.967
_cell_angle_alpha 71.52
_cell_angle_beta 74.22
_cell_angle_gamma 83.14
loop_
_atom_site_label
_atom_site_type_symbol
_atom_site_fract_x
_atom_site_fract_y
_atom_site_fract_z
_atom_site_occupancy
Mg1 Mg 0.000 0.000 0.000 1
Mn1 Mn 0.339 0.815 0.668 1
Mn2 Mn 0.400 0.761 0.178 1
Mn3 Mn 0.590 0.220 0.848 1
Mn4 Mn 0.645 0.162 0.361 1
Mn5 Mn 0.959 0.537 0.513 1
Mn6 Mn 0.994 0.507 0.005 1
O1 O 0.067 0.654 0.202 1
O2 O 0.268 0.672 0.477 1
O3 O 0.324 0.137 0.492 1
O4 O 0.334 0.495 0.872 1
O5 O 0.376 0.961 0.892 1
O6 O 0.623 0.023 0.132 1
O7 O 0.658 0.484 0.162 1
O8 O 0.676 0.831 0.528 1
O9 O 0.728 0.296 0.552 1
O10 O 0.913 0.353 0.819 1
O11 O 0.990 0.808 0.814 1
F1 F 0.019 0.168 0.201 1
```

=====

Simulated powder XRD pattern
Compound: Ba2MnMoO6
Radiation: a wavelength of 1.5418 Å
Structure: DFT lattice parameters and positions (GGA+U)
Lines closer than 0.1° are merged.

Most intense lines, 5° ≤ 2θ ≤ 70°, in order of rising 2θ:
2θ = 18.48°, I = 4
2θ = 21.37°, I = 4
2θ = 30.40°, I = 100
2θ = 35.81°, I = 1
2θ = 37.46°, I = 11
2θ = 43.52°, I = 32
2θ = 48.98°, I = 2
2θ = 54.01°, I = 39
2θ = 63.24°, I = 19
2θ = 67.58°, I = 1

Crystal structure
```
data_Ba2MnMoO6
_symmetry_space_group_name_H-M 'F m -3 m'
_symmetry_Int_Tables_number 225
_symmetry_space_group_name_Hall '-F 4 2 3'
_cell_length_a 8.318
_cell_length_b 8.318
_cell_length_c 8.318
_cell_angle_alpha 90.00
_cell_angle_beta 90.00
_cell_angle_gamma 90.00
loop_
_atom_site_label
_atom_site_type_symbol
_atom_site_fract_x
_atom_site_fract_y
_atom_site_fract_z
_atom_site_occupancy
Ba1 Ba 0.250 0.250 0.250 1
Mn1 Mn 0.000 0.000 0.000 1
Mo1 Mo 0.000 0.000 0.500 1
O1 O 0.000 0.000 0.265 1
```

=====

Simulated powder XRD pattern
Compound: SrFe2O4
Radiation: a wavelength of 1.5418 Å
Structure: DFT lattice parameters and positions (GGA+U)
Lines closer than 0.1° are merged.

Most intense lines, 5° ≤ 2θ ≤ 70°, in order of rising 2θ:
2θ = 26.98°, I = 19
2θ = 27.53°, I = 20
2θ = 28.40°, I = 100
2θ = 28.94°, I = 56
2θ = 29.41°, I = 27
2θ = 32.47°, I = 37
2θ = 33.03°, I = 69
2θ = 43.92°, I = 21
2θ = 55.10°, I = 16
2θ = 58.28°, I = 16

Crystal structure
```
data_SrFe2O4
_symmetry_space_group_name_H-M 'P 1 21/c 1'
_symmetry_Int_Tables_number 14
_symmetry_space_group_name_Hall '-P 2ybc'
_cell_length_a 8.247
_cell_length_b 11.031
_cell_length_c 12.243
_cell_angle_alpha 90.00
_cell_angle_beta 130.26
_cell_angle_gamma 90.00
loop_
_atom_site_label
_atom_site_type_symbol
_atom_site_fract_x
_atom_site_fract_y
_atom_site_fract_z
_atom_site_occupancy
Sr1 Sr 0.203 0.153 0.202 1
Sr2 Sr 0.221 0.610 0.227 1
Fe1 Fe 0.163 0.112 0.906 1
Fe2 Fe 0.258 0.613 0.931 1
Fe3 Fe 0.345 0.139 0.568 1
Fe4 Fe 0.397 0.636 0.592 1
O1 O 0.083 0.530 0.752 1
O2 O 0.097 0.241 0.454 1
O3 O 0.180 0.717 0.412 1
O4 O 0.247 0.520 0.058 1
O5 O 0.300 0.024 0.080 1
O6 O 0.324 0.111 0.844 1
O7 O 0.449 0.136 0.469 1
O8 O 0.466 0.724 0.753 1
```

=====

Simulated powder XRD pattern
Compound: Li9Mn2Co5O16
Radiation: a wavelength of 1.5418 Å
Structure: DFT lattice parameters and positions (GGA+U)
Lines closer than 0.1° are merged.

Most intense lines, 5° ≤ 2θ ≤ 70°, in order of rising 2θ:
2θ = 18.21°, I = 100
2θ = 35.35°, I = 15
2θ = 36.27°, I = 13
2θ = 36.71°, I = 11
2θ = 42.58°, I = 28
2θ = 43.66°, I = 26
2θ = 44.50°, I = 24
2θ = 62.23°, I = 7
2θ = 63.02°, I = 14
2θ = 63.53°, I = 7

Crystal structure
```
data_Li9Mn2Co5O16
_symmetry_space_group_name_H-M 'P -1'
_symmetry_Int_Tables_number 2
_symmetry_space_group_name_Hall '-P 1'
_cell_length_a 5.026
_cell_length_b 5.863
_cell_length_c 9.886
_cell_angle_alpha 88.13
_cell_angle_beta 80.40
_cell_angle_gamma 88.09
loop_
_atom_site_label
_atom_site_type_symbol
_atom_site_fract_x
_atom_site_fract_y
_atom_site_fract_z
_atom_site_occupancy
Li1 Li 0.000 0.000 0.000 1
Li2 Li 0.237 0.247 0.769 1
Li3 Li 0.240 0.994 0.238 1
Li4 Li 0.243 0.758 0.767 1
Li5 Li 0.253 0.501 0.241 1
Mn1 Mn 0.500 0.000 0.500 1
Mn2 Mn 0.500 0.500 0.500 1
Co1 Co 0.000 0.252 0.501 1
Co2 Co 0.000 0.500 0.000 1
Co3 Co 0.482 0.760 0.003 1
O1 O 0.122 0.990 0.606 1
O2 O 0.123 0.276 0.111 1
O3 O 0.133 0.494 0.604 1
O4 O 0.138 0.746 0.120 1
O5 O 0.355 0.731 0.388 1
O6 O 0.364 0.497 0.884 1
O7 O 0.371 0.257 0.395 1
O8 O 0.398 0.992 0.876 1
```

=====

Simulated powder XRD pattern
Compound: Li5FeO4
Radiation: a wavelength of 1.5418 Å
Structure: DFT lattice parameters and positions (GGA+U)
Lines closer than 0.1° are merged.

Most intense lines, 5° ≤ 2θ ≤ 70°, in order of rising 2θ:
2θ = 16.45°, I = 43
2θ = 16.68°, I = 28
2θ = 21.01°, I = 66
2θ = 21.19°, I = 55
2θ = 23.84°, I = 100
2θ = 26.11°, I = 29
2θ = 33.07°, I = 50
2θ = 35.79°, I = 38
2θ = 56.15°, I = 29
2θ = 56.78°, I = 29

Crystal structure
```
data_Li5FeO4
_symmetry_space_group_name_H-M 'P 1 21/c 1'
_symmetry_Int_Tables_number 14
_symmetry_space_group_name_Hall '-P 2ybc'
_cell_length_a 5.536
_cell_length_b 6.825
_cell_length_c 11.223
_cell_angle_alpha 90.00
_cell_angle_beta 106.22
_cell_angle_gamma 90.00
loop_
_atom_site_label
_atom_site_type_symbol
_atom_site_fract_x
_atom_site_fract_y
_atom_site_fract_z
_atom_site_occupancy
Li1 Li 0.096 0.029 0.202 1
Li2 Li 0.321 0.747 0.337 1
Li3 Li 0.361 0.529 0.078 1
Li4 Li 0.366 0.521 0.563 1
Li5 Li 0.383 0.215 0.786 1
Fe1 Fe 0.110 0.244 0.439 1
O1 O 0.241 0.729 0.646 1
O2 O 0.256 0.025 0.885 1
O3 O 0.270 0.241 0.114 1
O4 O 0.272 0.034 0.380 1
```